No. 1
This entry pairs a crystal structure of Zn5Pt4 with its theoretical PXRD pattern. Radiation: copper Kα. Structure: DFT lattice parameters and positions (PBE).

Top 10 peaks for 5° ≤ 2θ ≤ 70°, low angle first:
27.0 deg, I = 10
28.7 deg, I = 21
33.2 deg, I = 6
36.0 deg, I = 5
39.8 deg, I = 15
41.0 deg, I = 100
52.8 deg, I = 9
59.4 deg, I = 13
61.2 deg, I = 7
63.8 deg, I = 5

Atomic structure:
Lattice parameters (Å, degrees): 7.6187 7.6187 5.3991 90.00 90.00 120.00
Positions (direct):
Zn  0.0000  0.2972  0.2500
Zn  0.0000  0.7028  0.7500
Zn  0.2972  0.0000  0.2500
Zn  0.2972  0.2972  0.7500
Zn  0.3333  0.6667  0.0000
Zn  0.3333  0.6667  0.5000
Zn  0.6667  0.3333  0.0000
Zn  0.6667  0.3333  0.5000
Zn  0.7028  0.0000  0.7500
Zn  0.7028  0.7028  0.2500
Pt  0.0000  0.0000  0.0000
Pt  0.0000  0.0000  0.5000
Pt  0.0000  0.3730  0.7500
Pt  0.0000  0.6270  0.2500
Pt  0.3730  0.0000  0.7500
Pt  0.3730  0.3730  0.2500
Pt  0.6270  0.0000  0.2500
Pt  0.6270  0.6270  0.7500

No. 2
This entry pairs a crystal structure of ZnPt with its theoretical PXRD pattern. Radiation: copper Kα. Structure: DFT lattice parameters and positions (PBE).

Top 10 peaks for 5° ≤ 2θ ≤ 70°, low angle first:
22.9 deg, I = 21
23.6 deg, I = 15
26.4 deg, I = 13
33.1 deg, I = 10
33.6 deg, I = 19
39.7 deg, I = 28
42.8 deg, I = 100
53.0 deg, I = 10
54.4 deg, I = 11
69.4 deg, I = 10

Atomic structure:
Lattice parameters (Å, degrees): 7.5436 7.5436 4.5396 90.00 90.00 90.00
Positions (direct):
Zn  0.0685  0.2704  0.0000
Zn  0.2296  0.4315  0.5000
Zn  0.2704  0.9315  0.0000
Zn  0.4315  0.7704  0.5000
Zn  0.5685  0.2296  0.5000
Zn  0.7296  0.0685  0.0000
Zn  0.7704  0.5685  0.5000
Zn  0.9315  0.7296  0.0000
Pt  0.0921  0.7561  0.5000
Pt  0.2439  0.0921  0.5000
Pt  0.2561  0.5921  0.0000
Pt  0.4079  0.2561  0.0000
Pt  0.5921  0.7439  0.0000
Pt  0.7439  0.4079  0.0000
Pt  0.7561  0.9079  0.5000
Pt  0.9079  0.2439  0.5000

No. 3
This entry pairs a crystal structure of Zn6Pt5 with its theoretical PXRD pattern. Radiation: copper Kα. Structure: DFT lattice parameters and positions (PBE).

Top 10 peaks for 5° ≤ 2θ ≤ 70°, low angle first:
16.7 deg, I = 9
25.4 deg, I = 8
28.6 deg, I = 21
30.8 deg, I = 9
37.3 deg, I = 7
40.9 deg, I = 56
42.5 deg, I = 100
52.1 deg, I = 9
59.2 deg, I = 20
64.2 deg, I = 7

Atomic structure:
Lattice parameters (Å, degrees): 7.5592 7.5592 7.5592 146.05 134.87 57.65
Positions (direct):
Zn  0.0776  0.3378  0.7398
Zn  0.2313  0.0000  0.2313
Zn  0.4019  0.6622  0.7398
Zn  0.5981  0.3378  0.2602
Zn  0.7687  0.0000  0.7687
Zn  0.9224  0.6622  0.2602
Pt  0.1695  0.1695  0.0000
Pt  0.3389  0.8389  0.5000
Pt  0.5000  0.5000  0.0000
Pt  0.6611  0.1611  0.5000
Pt  0.8305  0.8305  0.0000

No. 4
This entry pairs a crystal structure of Zn4Pt with its theoretical PXRD pattern. Radiation: copper Kα. Structure: DFT lattice parameters and positions (PBE).

Top 10 peaks for 5° ≤ 2θ ≤ 70°, low angle first:
15.7 deg, I = 100
20.9 deg, I = 73
23.6 deg, I = 99
37.3 deg, I = 99
39.1 deg, I = 91
39.2 deg, I = 91
42.4 deg, I = 72
46.2 deg, I = 67
48.4 deg, I = 70
50.5 deg, I = 88

Atomic structure:
Lattice parameters (Å, degrees): 5.6862 5.6862 2.7331 90.12 90.12 82.97
Positions (direct):
Zn  0.1694  0.8306  0.0000
Zn  0.2439  0.2439  0.4987
Zn  0.7561  0.7561  0.5013
Zn  0.8306  0.1694  0.0000
Pt  0.5000  0.5000  0.0000

No. 5
This entry pairs a crystal structure of Zn4Pt7 with its theoretical PXRD pattern. Radiation: copper Kα. Structure: DFT lattice parameters and positions (PBE).

Top 10 peaks for 5° ≤ 2θ ≤ 70°, low angle first:
24.4 deg, I = 22
32.4 deg, I = 20
36.9 deg, I = 9
38.8 deg, I = 11
40.8 deg, I = 100
42.9 deg, I = 74
46.4 deg, I = 11
60.7 deg, I = 26
65.0 deg, I = 8
67.4 deg, I = 8

Atomic structure:
Lattice parameters (Å, degrees): 8.4303 8.4303 2.7791 90.00 90.00 120.00
Positions (direct):
Zn  0.0000  0.0000  0.0000
Zn  0.0174  0.5087  0.5000
Zn  0.4913  0.5087  0.5000
Zn  0.4913  0.9826  0.5000
Pt  0.1856  0.3711  0.0000
Pt  0.1856  0.8144  0.0000
Pt  0.3110  0.1555  0.5000
Pt  0.6289  0.8144  0.0000
Pt  0.6667  0.3333  0.0000
Pt  0.8445  0.1555  0.5000
Pt  0.8445  0.6889  0.5000

No. 6
This entry pairs a crystal structure of ZnPt3 with its theoretical PXRD pattern. Radiation: copper Kα. Structure: DFT lattice parameters and positions (PBE).

Top 8 peaks for 5° ≤ 2θ ≤ 70°, low angle first:
24.6 deg, I = 8
28.4 deg, I = 4
40.7 deg, I = 100
48.1 deg, I = 4
50.4 deg, I = 1
58.9 deg, I = 17
64.7 deg, I = 2
66.6 deg, I = 2

Atomic structure:
Lattice parameters (Å, degrees): 4.4382 4.4382 4.4382 60.00 60.00 60.00
Positions (direct):
Zn  0.0000  0.0000  0.0000
Pt  0.2500  0.2500  0.2500
Pt  0.5000  0.5000  0.5000
Pt  0.7500  0.7500  0.7500

No. 7
This entry pairs a crystal structure of Zn12Pt7 with its theoretical PXRD pattern. Radiation: copper Kα. Structure: DFT lattice parameters and positions (PBE).

Top 10 peaks for 5° ≤ 2θ ≤ 70°, low angle first:
24.8 deg, I = 59
25.3 deg, I = 22
38.8 deg, I = 12
39.2 deg, I = 10
40.9 deg, I = 100
41.2 deg, I = 49
43.4 deg, I = 23
44.2 deg, I = 50
50.9 deg, I = 14
61.4 deg, I = 16

Atomic structure:
Lattice parameters (Å, degrees): 7.0526 29.1798 2.7965 90.00 90.00 90.00
Positions (direct):
Zn  0.1226  0.0715  0.0000
Zn  0.1292  0.6433  0.0000
Zn  0.1395  0.2159  0.0000
Zn  0.1835  0.4918  0.0000
Zn  0.2295  0.8009  0.0000
Zn  0.2450  0.3988  0.0000
Zn  0.2550  0.8988  0.0000
Zn  0.2705  0.3009  0.0000
Zn  0.3165  0.9918  0.0000
Zn  0.3605  0.7159  0.0000
Zn  0.3708  0.1433  0.0000
Zn  0.3774  0.5715  0.0000
Zn  0.6226  0.4285  0.0000
Zn  0.6292  0.8567  0.0000
Zn  0.6395  0.2841  0.0000
Zn  0.6835  0.0082  0.0000
Zn  0.7295  0.6991  0.0000
Zn  0.7450  0.1012  0.0000
Zn  0.7550  0.6012  0.0000
Zn  0.7705  0.1991  0.0000
Zn  0.8165  0.5082  0.0000
Zn  0.8605  0.7841  0.0000
Zn  0.8708  0.3567  0.0000
Zn  0.8774  0.9285  0.0000
Pt  0.0000  0.0000  0.5000
Pt  0.0059  0.1443  0.5000
Pt  0.0382  0.5673  0.5000
Pt  0.0392  0.7191  0.5000
Pt  0.4608  0.2191  0.5000
Pt  0.4618  0.0673  0.5000
Pt  0.4941  0.6443  0.5000
Pt  0.5000  0.5000  0.5000
Pt  0.5059  0.3557  0.5000
Pt  0.5382  0.9327  0.5000
Pt  0.5392  0.7809  0.5000
Pt  0.9608  0.2809  0.5000
Pt  0.9618  0.4327  0.5000
Pt  0.9941  0.8557  0.5000

No. 8
This entry pairs a crystal structure of Zr2Zn3Pt with its theoretical PXRD pattern. Radiation: copper Kα. Structure: DFT lattice parameters and positions (PBE).

Top 10 peaks for 5° ≤ 2θ ≤ 70°, low angle first:
10.9 deg, I = 20
22.4 deg, I = 22
27.3 deg, I = 22
35.3 deg, I = 14
36.6 deg, I = 100
38.9 deg, I = 47
44.2 deg, I = 27
45.0 deg, I = 39
55.4 deg, I = 14
60.3 deg, I = 27

Atomic structure:
Lattice parameters (Å, degrees): 8.5225 8.5225 8.5225 157.57 152.15 36.05
Positions (direct):
Zr  0.0000  0.0000  0.0000
Zr  0.7416  0.2416  0.5000
Zn  0.1616  0.6616  0.5000
Zn  0.3141  0.8141  0.5000
Zn  0.5862  0.5862  0.0000
Pt  0.4291  0.4291  0.0000

No. 9
This entry pairs a crystal structure of Zr3Zn2Pt3 with its theoretical PXRD pattern. Radiation: copper Kα. Structure: DFT lattice parameters and positions (PBE).

Top 10 peaks for 5° ≤ 2θ ≤ 70°, low angle first:
12.8 deg, I = 18
22.2 deg, I = 28
28.0 deg, I = 35
34.0 deg, I = 34
38.4 deg, I = 100
39.0 deg, I = 54
41.0 deg, I = 61
50.6 deg, I = 41
52.7 deg, I = 14
63.7 deg, I = 22

Atomic structure:
Lattice parameters (Å, degrees): 7.9968 7.9968 5.2788 90.00 90.00 120.00
Positions (direct):
Zr  0.0000  0.2581  0.2500
Zr  0.0000  0.7419  0.7500
Zr  0.2581  0.0000  0.2500
Zr  0.2581  0.2581  0.7500
Zr  0.7419  0.0000  0.7500
Zr  0.7419  0.7419  0.2500
Zn  0.3333  0.6667  0.0000
Zn  0.3333  0.6667  0.5000
Zn  0.6667  0.3333  0.0000
Zn  0.6667  0.3333  0.5000
Pt  0.0000  0.3924  0.7500
Pt  0.0000  0.6076  0.2500
Pt  0.3924  0.0000  0.7500
Pt  0.3924  0.3924  0.2500
Pt  0.6076  0.0000  0.2500
Pt  0.6076  0.6076  0.7500

No. 10
This entry pairs a crystal structure of Zr4Pt3 with its theoretical PXRD pattern. Radiation: copper Kα. Structure: DFT lattice parameters and positions (PBE).

Top 10 peaks for 5° ≤ 2θ ≤ 70°, low angle first:
26.3 deg, I = 23
31.3 deg, I = 7
37.4 deg, I = 83
37.8 deg, I = 100
42.7 deg, I = 6
46.7 deg, I = 5
54.2 deg, I = 29
67.2 deg, I = 8
68.0 deg, I = 29
68.3 deg, I = 17

Atomic structure:
Lattice parameters (Å, degrees): 7.5327 7.5327 7.5327 113.40 113.40 113.40
Positions (direct):
Zr  0.0000  0.0000  0.0000
Zr  0.0569  0.7624  0.6212
Zr  0.2376  0.3788  0.9431
Zr  0.3788  0.9431  0.2376
Zr  0.5000  0.5000  0.5000
Zr  0.6212  0.0569  0.7624
Zr  0.7624  0.6212  0.0569
Zr  0.9431  0.2376  0.3788
Pt  0.0963  0.5267  0.2371
Pt  0.2371  0.0963  0.5267
Pt  0.4733  0.7629  0.9037
Pt  0.5267  0.2371  0.0963
Pt  0.7629  0.9037  0.4733
Pt  0.9037  0.4733  0.7629

No. 11
This entry pairs a crystal structure of Zr13Pt2 with its theoretical PXRD pattern. Radiation: copper Kα. Structure: DFT lattice parameters and positions (PBE).

Top 10 peaks for 5° ≤ 2θ ≤ 70°, low angle first:
11.6 deg, I = 18
35.2 deg, I = 48
35.3 deg, I = 50
35.7 deg, I = 100
37.3 deg, I = 86
48.3 deg, I = 17
53.7 deg, I = 27
63.1 deg, I = 8
65.7 deg, I = 12
66.4 deg, I = 14

Atomic structure:
Lattice parameters (Å, degrees): 5.7218 7.6373 8.3256 67.51 79.55 82.08
Positions (direct):
Zr  0.0000  0.0000  0.0000
Zr  0.0549  0.4174  0.7153
Zr  0.2069  0.1808  0.2248
Zr  0.2551  0.5922  0.9461
Zr  0.2941  0.9973  0.6536
Zr  0.4512  0.3712  0.4169
Zr  0.4824  0.7948  0.1400
Zr  0.5176  0.2052  0.8600
Zr  0.5488  0.6288  0.5831
Zr  0.7059  0.0027  0.3464
Zr  0.7449  0.4078  0.0539
Zr  0.7931  0.8192  0.7752
Zr  0.9451  0.5826  0.2847
Pt  0.1352  0.7798  0.4420
Pt  0.8648  0.2202  0.5580

No. 12
This entry pairs a crystal structure of ZrPt5 with its theoretical PXRD pattern. Radiation: copper Kα. Structure: DFT lattice parameters and positions (PBE).

Top 10 peaks for 5° ≤ 2θ ≤ 70°, low angle first:
16.4 deg, I = 3
24.5 deg, I = 3
38.6 deg, I = 100
38.7 deg, I = 99
44.7 deg, I = 33
45.0 deg, I = 32
45.2 deg, I = 32
65.1 deg, I = 11
65.4 deg, I = 32
65.7 deg, I = 21

Atomic structure:
Lattice parameters (Å, degrees): 4.9628 4.9628 5.7006 107.07 107.07 47.71
Positions (direct):
Zr  0.0000  0.0000  0.0000
Pt  0.0000  0.0000  0.5000
Pt  0.3351  0.3351  0.1729
Pt  0.3357  0.3357  0.6720
Pt  0.6643  0.6643  0.3280
Pt  0.6649  0.6649  0.8271

What did the ninth record say?
This entry pairs a crystal structure of Zr3Zn2Pt3 with its theoretical PXRD pattern. Radiation: copper Kα. Structure: DFT lattice parameters and positions (PBE).

Top 10 peaks for 5° ≤ 2θ ≤ 70°, low angle first:
12.8 deg, I = 18
22.2 deg, I = 28
28.0 deg, I = 35
34.0 deg, I = 34
38.4 deg, I = 100
39.0 deg, I = 54
41.0 deg, I = 61
50.6 deg, I = 41
52.7 deg, I = 14
63.7 deg, I = 22

Atomic structure:
Lattice parameters (Å, degrees): 7.9968 7.9968 5.2788 90.00 90.00 120.00
Positions (direct):
Zr  0.0000  0.2581  0.2500
Zr  0.0000  0.7419  0.7500
Zr  0.2581  0.0000  0.2500
Zr  0.2581  0.2581  0.7500
Zr  0.7419  0.0000  0.7500
Zr  0.7419  0.7419  0.2500
Zn  0.3333  0.6667  0.0000
Zn  0.3333  0.6667  0.5000
Zn  0.6667  0.3333  0.0000
Zn  0.6667  0.3333  0.5000
Pt  0.0000  0.3924  0.7500
Pt  0.0000  0.6076  0.2500
Pt  0.3924  0.0000  0.7500
Pt  0.3924  0.3924  0.2500
Pt  0.6076  0.0000  0.2500
Pt  0.6076  0.6076  0.7500

Which formula does entry 5 have?
Zn4Pt7